Diffraction record for CeErSbTe. The powder diffraction line list is computed, not measured: it uses a structure optimized by DFT (GGA-PBE) and Cu Kα (λ = 1.5418 Å).

Peak list (6 most intense, 15° ≤ 2θ ≤ 90°, by angle)
2θ (°), intensity
28.52, 100.0
40.67, 37.6
40.87, 38.1
50.59, 20.4
66.69, 16.6
66.98, 17.4

Structural model:
a = 7.698 Å, b = 7.698 Å, c = 7.698 Å
α = 33.34°, β = 33.34°, γ = 33.34°
Element x y z (fractional)
Ce  0.000  0.000  0.000
Er  0.505  0.505  0.505
Sb  0.248  0.248  0.248
Te  0.757  0.757  0.757